Diffraction record for LiMnP4O12. The X-ray diffraction stick pattern is simulated, not measured: it uses the GGA+U geometry in Alexandria and a wavelength of 1.5418 Å.
Intensities are scaled so that the largest is 100.

Cell and atoms:
Unit cell a=8.840 b=8.840 c=9.934 alpha=122.80 beta=122.80 gamma=55.22
Element x y z (fractional)
Li: 0.247 0.753 0.750
Li: 0.753 0.247 0.250
Mn: 0.305 0.695 0.250
Mn: 0.695 0.305 0.750
P: 0.061 0.677 0.357
P: 0.291 0.416 0.864
P: 0.323 0.939 0.143
P: 0.416 0.291 0.364
P: 0.584 0.709 0.636
P: 0.677 0.061 0.857
P: 0.709 0.584 0.136
P: 0.939 0.323 0.643
O: 0.048 0.725 0.518
O: 0.109 0.811 0.345
O: 0.135 0.332 0.804
O: 0.189 0.891 0.155
O: 0.213 0.564 0.791
O: 0.220 0.459 0.289
O: 0.275 0.952 0.982
O: 0.332 0.135 0.304
O: 0.375 0.466 0.058
O: 0.436 0.787 0.709
O: 0.459 0.220 0.789
O: 0.466 0.375 0.558
O: 0.534 0.625 0.442
O: 0.541 0.780 0.211
O: 0.564 0.213 0.291
O: 0.625 0.534 0.942
O: 0.668 0.865 0.696
O: 0.725 0.048 0.018
O: 0.780 0.541 0.711
O: 0.787 0.436 0.209
O: 0.811 0.109 0.845
O: 0.865 0.668 0.196
O: 0.891 0.189 0.655
O: 0.952 0.275 0.482

Top 6 peaks for 2θ from 10° to 80°, sorted by position:
2θ = 12.95°, intensity 75; 2θ = 14.01°, intensity 57; 2θ = 17.87°, intensity 85; 2θ = 19.88°, intensity 98; 2θ = 22.62°, intensity 47; 2θ = 24.66°, intensity 100